Diffraction record for KMgGaCu. The XRD peak list is simulated, not measured: it uses a GGA-PBE-relaxed structure and Cu Kα X-rays.
Kinematic intensities with the Lorentz-polarization factor, no thermal factor.

Top 6 peaks for 2θ = 10–80°, most intense first:
13.93°, I = 100
40.54°, I = 62
50.04°, I = 43
28.07°, I = 38
43.07°, I = 37
33.04°, I = 31

Structure:
Cell lengths 4.4501, 4.4501, 19.0717 Å; angles 90.00, 90.00, 120.00 degrees
Space group R3m (No. 160, hexagonal axes)
Inequivalent atoms, fractional coordinates:
K  0.0000  0.0000  0.0000 (multiplicity 3)
Mg  0.0000  0.0000  0.8161 (multiplicity 3)
Ga  0.0000  0.0000  0.5305 (multiplicity 3)
Cu  0.0000  0.0000  0.1896 (multiplicity 3)